This entry pairs a crystal structure of PmZnBi2 with its simulated powder XRD pattern. Radiation: Cu Ka. Structure: a DFT-relaxed cell (GGA-PBE, Alexandria).
Peak positions follow from Bragg's law for the DFT cell and can differ from measured ones.

Most intense lines, 2θ from 10° to 90°, sorted by position:
(1 0 2), 2θ = 26.31°, I = 10
(0 0 3), 2θ = 27.75°, I = 14
(1 1 1), 2θ = 28.08°, I = 23
(1 1 2), 2θ = 32.44°, I = 100
(2 0 0), 2θ = 37.80°, I = 42
(2 0 3), 2θ = 47.54°, I = 14
(2 0 4), 2θ = 54.15°, I = 12
(2 2 0), 2θ = 54.53°, I = 15
(1 1 5), 2θ = 54.86°, I = 9
(3 1 2), 2θ = 64.90°, I = 28

Cell and atoms:
Cell: 4.7594 4.7594 9.6447 Å, 90.00 90.00 90.00°
Space group P4/nmm (No. 129, origin choice 2)
One atom of each set of equivalent atoms:
Pm  0.2500  0.2500  0.2428 [2 per cell]
Zn  0.2500  0.7500  0.0000 [2 per cell]
Bi  0.2500  0.2500  0.8166 [2 per cell]
Bi  0.2500  0.7500  0.5000 [2 per cell]